Simulated powder diffractogram of Cs2Rb2TeO4 for Cu Kα X-rays, from a crystal structure in Alexandria, relaxed with GGA-PBE.

Principal peaks in the range 10 to 90 degrees two-theta, low angle first:
2θ/deg	I (rel.)
26.50	100
31.29	26
32.62	17
37.76	32
41.43	20
42.65	8
46.75	19
54.47	10
57.29	10
61.56	16
61.94	11
74.87	13

Crystal structure
```
data_Cs2Rb2TeO4
_chemical_formula_sum 'Cs2 Rb2 Te1 O4'
_cell_length_a 6.7170
_cell_length_b 6.7170
_cell_length_c 6.7170
_cell_angle_alpha 119.79
_cell_angle_beta 119.79
_cell_angle_gamma 90.36
_space_group_name_H-M_alt 'P 1'
_space_group_IT_number 1
_space_group_name_Hall 'P 1'
loop_
_atom_site_label
_atom_site_type_symbol
_atom_site_fract_x
_atom_site_fract_y
_atom_site_fract_z
_atom_site_occupancy
Cs1 Cs 0.2500 0.7500 0.5000 1
Cs2 Cs 0.7500 0.2500 0.5000 1
Rb1 Rb 0.1525 0.1525 0.0000 1
Rb2 Rb 0.8475 0.8475 0.0000 1
Te1 Te 0.5000 0.5000 0.0000 1
O1 O 0.2820 0.2820 0.5641 1
O2 O 0.2820 0.7180 0.0000 1
O3 O 0.7180 0.2820 0.0000 1
O4 O 0.7180 0.7180 0.4359 1
```